This entry pairs a crystal structure of Ge3Te2Se with its theoretical XRD peak list. Radiation: Cu Kα X-rays. Structure: a crystal structure in Alexandria, relaxed with GGA-PBE.
Lines closer than 0.1° are merged.

Atomic structure:
Cell lengths 4.176, 12.508, 6.003 Å; angles 90.00, 90.00, 90.00 degrees
Space group Pmmn (No. 59, origin choice 2)
One atom of each set of equivalent atoms:
Ge 0.250 0.091 0.232 x4
Ge 0.250 0.750 0.201 x2
Te 0.250 0.079 0.748 x4
Se 0.250 0.750 0.771 x2

Main lines, by intensity (2θ = 10–90°):
hkl	Position (°2θ)	I_rel
1 3 0	30.29	100
1 3 2	42.98	70
0 0 2	29.76	52
2 0 0	43.37	37
2 0 2	53.48	37
2 6 2	71.21	15
1 3 4	70.38	13
2 6 0	63.00	12